The following is a simulated PXRD pattern of SrAlSi2Ni. It was derived from a DFT-relaxed cell (PBE, Alexandria), using Cu Ka.
No peak broadening, texture or thermal motion is included.

Top 10 peaks for 2θ from 10° to 90°, low angle first:
| (hkl) | 2theta | I/Imax |
| --- | --- | --- |
| 1 0 1 | 23.20 | 292 |
| 1 0 3 | 33.64 | 560 |
| 1 1 2 | 35.25 | 1000 |
| 2 0 0 | 43.94 | 435 |
| 1 0 5 | 48.77 | 224 |
| 2 1 3 | 56.46 | 243 |
| 1 1 6 | 61.97 | 152 |
| 2 2 0 | 63.90 | 138 |
| 2 1 5 | 67.72 | 165 |
| 3 1 2 | 75.13 | 206 |

```
data_SrAlSi2Ni
_cell_length_a 4.121
_cell_length_b 4.121
_cell_length_c 10.474
_cell_angle_alpha 90.00
_cell_angle_beta 90.00
_cell_angle_gamma 90.00
_symmetry_space_group_name_H-M 'I -4 m 2'
_symmetry_Int_Tables_number 119
_symmetry_space_group_name_Hall 'I -4 -2'
loop_
_atom_site_label
_atom_site_type_symbol
_atom_site_fract_x
_atom_site_fract_y
_atom_site_fract_z
_atom_site_occupancy
Sr1 Sr 0.000 0.000 0.000 1
Al1 Al 0.000 0.500 0.250 1
Si1 Si 0.000 0.000 0.381 1
Ni1 Ni 0.000 0.500 0.750 1
```